1.
Diffraction record for Zr2Hg2Br. The PXRD pattern is calculated, not measured: it uses a DFT-relaxed cell (GGA-PBE, Alexandria) and a wavelength of 1.5418 Å.
Peak positions follow from Bragg's law for the DFT cell and can differ from measured ones.

Cell and atoms:
Cell: 7.205 7.205 4.484 Å, 90.00 90.00 90.00°
Sites, in units of the cell vectors:
1 Zr 0.154 0.346 0.000
2 Zr 0.346 0.846 0.000
3 Zr 0.654 0.154 0.000
4 Zr 0.846 0.654 0.000
5 Hg 0.150 0.650 0.500
6 Hg 0.350 0.150 0.500
7 Hg 0.650 0.850 0.500
8 Hg 0.850 0.350 0.500
9 Br 0.000 0.000 0.000
10 Br 0.500 0.500 0.000

Most intense lines, 2θ from 10° to 90°, most intense first:
| 2theta | I_rel |
| --- | --- |
| 34.3 | 100 |
| 39.6 | 28 |
| 57.7 | 18 |
| 40.2 | 18 |
| 73.9 | 16 |
| 69.3 | 13 |

=====

2.
Diffraction record for Dy2NpMnS6. The PXRD pattern is calculated, not measured: it uses a DFT-relaxed cell (GGA-PBE, Alexandria) and a wavelength of 1.5418 Å.
Peak positions follow from Bragg's law for the DFT cell and can differ from measured ones.

Cell and atoms:
Cell: 7.197 7.197 7.197 Å, 56.03 56.03 56.03°
Sites, in units of the cell vectors:
1 Dy 0.000 0.000 0.000
2 Dy 0.498 0.498 0.498
3 Np 0.800 0.800 0.800
4 Mn 0.299 0.299 0.299
5 S 0.087 0.676 0.411
6 S 0.191 0.576 0.921
7 S 0.411 0.087 0.676
8 S 0.576 0.921 0.191
9 S 0.676 0.411 0.087
10 S 0.921 0.191 0.576

Most intense lines, 2θ from 10° to 90°, most intense first:
| 2theta | I_rel |
| --- | --- |
| 26.4 | 100 |
| 24.8 | 95 |
| 40.0 | 89 |
| 46.5 | 49 |
| 36.5 | 47 |
| 18.0 | 45 |

=====

3.
Diffraction record for CaNdP2O8. The PXRD pattern is calculated, not measured: it uses a DFT-relaxed cell (GGA-PBE, Alexandria) and a wavelength of 1.5418 Å.
Peak positions follow from Bragg's law for the DFT cell and can differ from measured ones.

Cell and atoms:
Cell: 5.268 5.268 7.348 Å, 90.00 90.00 120.00°
Sites, in units of the cell vectors:
1 Ca 0.000 0.000 0.000
2 Nd 0.000 0.000 0.500
3 P 0.333 0.667 0.302
4 P 0.667 0.333 0.698
5 O 0.173 0.346 0.232
6 O 0.173 0.827 0.232
7 O 0.333 0.667 0.512
8 O 0.346 0.173 0.768
9 O 0.654 0.827 0.232
10 O 0.667 0.333 0.488
11 O 0.827 0.173 0.768
12 O 0.827 0.654 0.768

Most intense lines, 2θ from 10° to 90°, most intense first:
| 2theta | I_rel |
| --- | --- |
| 19.5 | 100 |
| 31.3 | 93 |
| 12.0 | 92 |
| 22.9 | 74 |
| 34.0 | 68 |
| 46.9 | 52 |

=====

4.
Diffraction record for Sr3TiRuO7. The PXRD pattern is calculated, not measured: it uses a DFT-relaxed cell (GGA-PBE, Alexandria) and a wavelength of 1.5418 Å.
Peak positions follow from Bragg's law for the DFT cell and can differ from measured ones.

Cell and atoms:
Cell: 10.727 10.727 10.727 Å, 158.91 158.91 30.01°
Sites, in units of the cell vectors:
1 Sr 0.000 0.000 0.000
2 Sr 0.182 0.182 0.000
3 Sr 0.812 0.812 0.000
4 Ti 0.596 0.596 0.000
5 Ru 0.401 0.401 0.000
6 O 0.095 0.595 0.500
7 O 0.301 0.301 0.000
8 O 0.401 0.901 0.500
9 O 0.500 0.500 0.000
10 O 0.595 0.095 0.500
11 O 0.691 0.691 0.000
12 O 0.901 0.401 0.500

Most intense lines, 2θ from 10° to 90°, most intense first:
| 2theta | I_rel |
| --- | --- |
| 31.4 | 100 |
| 32.2 | 62 |
| 46.2 | 38 |
| 56.9 | 37 |
| 65.5 | 18 |
| 55.3 | 17 |

=====

5.
Diffraction record for Ti3S2Cl4. The PXRD pattern is calculated, not measured: it uses a DFT-relaxed cell (GGA-PBE, Alexandria) and a wavelength of 1.5418 Å.
Peak positions follow from Bragg's law for the DFT cell and can differ from measured ones.

Cell and atoms:
Cell: 3.303 3.303 20.844 Å, 90.00 90.00 120.00°
Sites, in units of the cell vectors:
1 Ti 0.000 0.000 0.000
2 Ti 0.333 0.667 0.324
3 Ti 0.333 0.667 0.676
4 S 0.333 0.667 0.073
5 S 0.333 0.667 0.927
6 Cl 0.000 0.000 0.248
7 Cl 0.000 0.000 0.399
8 Cl 0.000 0.000 0.601
9 Cl 0.000 0.000 0.752

Most intense lines, 2θ from 10° to 90°, most intense first:
| 2theta | I_rel |
| --- | --- |
| 12.7 | 100 |
| 38.2 | 47 |
| 47.2 | 34 |
| 31.3 | 32 |
| 55.7 | 20 |
| 33.9 | 14 |

=====

6.
Diffraction record for CeIr5. The PXRD pattern is calculated, not measured: it uses a DFT-relaxed cell (GGA-PBE, Alexandria) and a wavelength of 1.5418 Å.
Peak positions follow from Bragg's law for the DFT cell and can differ from measured ones.

Cell and atoms:
Cell: 5.264 5.264 5.264 Å, 60.00 60.00 60.00°
Sites, in units of the cell vectors:
1 Ce 0.000 0.000 0.000
2 Ir 0.129 0.624 0.624
3 Ir 0.250 0.250 0.250
4 Ir 0.624 0.129 0.624
5 Ir 0.624 0.624 0.129
6 Ir 0.624 0.624 0.624

Most intense lines, 2θ from 10° to 90°, most intense first:
| 2theta | I_rel |
| --- | --- |
| 40.2 | 100 |
| 42.0 | 45 |
| 65.1 | 33 |
| 71.7 | 29 |
| 34.1 | 23 |
| 86.8 | 18 |

=====

7.
Diffraction record for CaTb15Nd4. The PXRD pattern is calculated, not measured: it uses a DFT-relaxed cell (GGA-PBE, Alexandria) and a wavelength of 1.5418 Å.
Peak positions follow from Bragg's law for the DFT cell and can differ from measured ones.

Cell and atoms:
Cell: 5.091 5.091 25.432 Å, 90.00 90.00 90.00°
Sites, in units of the cell vectors:
1 Ca 0.000 0.000 0.000
2 Tb 0.000 0.500 0.103
3 Tb 0.000 0.500 0.301
4 Tb 0.000 0.500 0.500
5 Tb 0.000 0.500 0.699
6 Tb 0.000 0.500 0.897
7 Tb 0.500 0.000 0.103
8 Tb 0.500 0.000 0.301
9 Tb 0.500 0.000 0.500
10 Tb 0.500 0.000 0.699
11 Tb 0.500 0.000 0.897
12 Tb 0.500 0.500 0.000
13 Tb 0.500 0.500 0.200
14 Tb 0.500 0.500 0.400
15 Tb 0.500 0.500 0.600
16 Tb 0.500 0.500 0.800
17 Nd 0.000 0.000 0.201
18 Nd 0.000 0.000 0.400
19 Nd 0.000 0.000 0.600
20 Nd 0.000 0.000 0.799

Most intense lines, 2θ from 10° to 90°, most intense first:
| 2theta | I_rel |
| --- | --- |
| 30.4 | 100 |
| 35.3 | 51 |
| 60.3 | 43 |
| 50.7 | 36 |
| 82.6 | 17 |
| 63.3 | 12 |

=====

8.
Diffraction record for Ho4IrRh2. The PXRD pattern is calculated, not measured: it uses a DFT-relaxed cell (GGA-PBE, Alexandria) and a wavelength of 1.5418 Å.
Peak positions follow from Bragg's law for the DFT cell and can differ from measured ones.

Cell and atoms:
Cell: 7.391 7.391 8.514 Å, 125.10 125.10 70.68°
Sites, in units of the cell vectors:
1 Ho 0.064 0.064 0.249
2 Ho 0.311 0.561 0.621
3 Ho 0.437 0.189 0.878
4 Ho 0.439 0.689 0.379
5 Ho 0.565 0.061 0.248
6 Ho 0.811 0.563 0.122
7 Ho 0.936 0.936 0.751
8 Ho 0.939 0.435 0.752
9 Ir 0.188 0.312 0.126
10 Ir 0.688 0.812 0.874
11 Rh 0.061 0.939 0.500
12 Rh 0.315 0.685 0.000
13 Rh 0.558 0.183 0.620
14 Rh 0.817 0.442 0.380

Most intense lines, 2θ from 10° to 90°, most intense first:
| 2theta | I_rel |
| --- | --- |
| 33.1 | 100 |
| 39.5 | 73 |
| 33.3 | 56 |
| 54.9 | 20 |
| 67.5 | 19 |
| 54.7 | 19 |

=====

9.
Diffraction record for Sc3In2Ir. The PXRD pattern is calculated, not measured: it uses a DFT-relaxed cell (GGA-PBE, Alexandria) and a wavelength of 1.5418 Å.
Peak positions follow from Bragg's law for the DFT cell and can differ from measured ones.

Cell and atoms:
Cell: 7.705 7.705 7.014 Å, 90.00 90.00 143.56°
Sites, in units of the cell vectors:
1 Sc 0.000 0.000 0.238
2 Sc 0.000 0.000 0.762
3 Sc 0.324 0.676 0.218
4 Sc 0.324 0.676 0.782
5 Sc 0.676 0.324 0.218
6 Sc 0.676 0.324 0.782
7 In 0.165 0.835 0.500
8 In 0.500 0.500 0.000
9 In 0.500 0.500 0.500
10 In 0.835 0.165 0.500
11 Ir 0.149 0.851 0.000
12 Ir 0.851 0.149 0.000

Most intense lines, 2θ from 10° to 90°, most intense first:
| 2theta | I_rel |
| --- | --- |
| 36.7 | 100 |
| 26.0 | 32 |
| 37.3 | 25 |
| 36.8 | 22 |
| 25.4 | 19 |
| 66.9 | 16 |

=====

10.
Diffraction record for Sm3ZnPt. The PXRD pattern is calculated, not measured: it uses a DFT-relaxed cell (GGA-PBE, Alexandria) and a wavelength of 1.5418 Å.
Peak positions follow from Bragg's law for the DFT cell and can differ from measured ones.

Cell and atoms:
Cell: 8.665 8.665 8.665 Å, 45.80 45.80 45.80°
Sites, in units of the cell vectors:
1 Sm 0.080 0.416 0.741
2 Sm 0.259 0.584 0.920
3 Sm 0.416 0.741 0.080
4 Sm 0.584 0.920 0.259
5 Sm 0.741 0.080 0.416
6 Sm 0.920 0.259 0.584
7 Zn 0.163 0.163 0.163
8 Zn 0.837 0.837 0.837
9 Pt 0.333 0.333 0.333
10 Pt 0.667 0.667 0.667

Most intense lines, 2θ from 10° to 90°, most intense first:
| 2theta | I_rel |
| --- | --- |
| 35.3 | 100 |
| 26.4 | 43 |
| 46.7 | 30 |
| 59.8 | 22 |
| 79.1 | 19 |
| 68.3 | 18 |

=====

11.
Diffraction record for DyPa3N. The PXRD pattern is calculated, not measured: it uses a DFT-relaxed cell (GGA-PBE, Alexandria) and a wavelength of 1.5418 Å.
Peak positions follow from Bragg's law for the DFT cell and can differ from measured ones.

Cell and atoms:
Cell: 4.833 4.833 4.833 Å, 90.00 90.00 90.00°
Sites, in units of the cell vectors:
1 Dy 0.000 0.000 0.000
2 Pa 0.000 0.500 0.500
3 Pa 0.500 0.000 0.500
4 Pa 0.500 0.500 0.000
5 N 0.500 0.500 0.500

Most intense lines, 2θ from 10° to 90°, most intense first:
| 2theta | I_rel |
| --- | --- |
| 32.1 | 100 |
| 37.2 | 54 |
| 63.9 | 44 |
| 53.6 | 38 |
| 88.1 | 19 |
| 67.1 | 13 |

=====

12.
Diffraction record for RbHg11. The PXRD pattern is calculated, not measured: it uses a DFT-relaxed cell (GGA-PBE, Alexandria) and a wavelength of 1.5418 Å.
Peak positions follow from Bragg's law for the DFT cell and can differ from measured ones.

Cell and atoms:
Cell: 10.371 10.371 10.371 Å, 90.00 90.00 90.00°
Sites, in units of the cell vectors:
1 Rb 0.000 0.000 0.500
2 Rb 0.000 0.500 0.000
3 Rb 0.500 0.000 0.000
4 Hg 0.000 0.345 0.345
5 Hg 0.000 0.345 0.655
6 Hg 0.000 0.655 0.345
7 Hg 0.000 0.655 0.655
8 Hg 0.153 0.153 0.153
9 Hg 0.153 0.153 0.847
10 Hg 0.153 0.847 0.153
11 Hg 0.153 0.847 0.847
12 Hg 0.268 0.268 0.500
13 Hg 0.268 0.500 0.268
14 Hg 0.268 0.500 0.732
15 Hg 0.268 0.732 0.500
16 Hg 0.345 0.000 0.345
17 Hg 0.345 0.000 0.655
18 Hg 0.345 0.345 0.000
19 Hg 0.345 0.655 0.000
20 Hg 0.500 0.268 0.268
21 Hg 0.500 0.268 0.732
22 Hg 0.500 0.500 0.500
23 Hg 0.500 0.732 0.268
24 Hg 0.500 0.732 0.732
25 Hg 0.655 0.000 0.345
26 Hg 0.655 0.000 0.655
27 Hg 0.655 0.345 0.000
28 Hg 0.655 0.655 0.000
29 Hg 0.732 0.268 0.500
30 Hg 0.732 0.500 0.268
31 Hg 0.732 0.500 0.732
32 Hg 0.732 0.732 0.500
33 Hg 0.847 0.153 0.153
34 Hg 0.847 0.153 0.847
35 Hg 0.847 0.847 0.153
36 Hg 0.847 0.847 0.847

Most intense lines, 2θ from 10° to 90°, most intense first:
| 2theta | I_rel |
| --- | --- |
| 35.7 | 100 |
| 36.8 | 62 |
| 29.8 | 48 |
| 28.5 | 42 |
| 39.8 | 36 |
| 56.8 | 35 |